Entry 1:
# RbSnHg2H
Computed X-ray powder pattern, Cu Kα (λ = 1.5418 Å). Input: the PBE geometry in Alexandria.

Structure:
```
RbSnHg2H
1.0
6.059 0.000 0.000
0.000 6.059 0.000
0.000 0.000 4.060
Rb Sn Hg H
1 1 2 1
Direct
0.000 0.000 0.000
0.500 0.500 0.500
0.000 0.500 0.500
0.500 0.000 0.500
0.500 0.500 0.000
```

Most intense lines, 10° ≤ 2θ ≤ 80°, by intensity:
d_spacing, 2θ (°), I (rel.)
3.030, 29.48, 100
2.947, 30.33, 67
2.428, 37.02, 56
4.060, 21.89, 51
2.142, 42.18, 38
1.687, 54.40, 37
3.373, 26.42, 30
1.733, 52.83, 29
1.895, 48.02, 27
1.474, 63.09, 24

---

Entry 2:
# AcPu2Au6
Computed X-ray powder pattern, Cu Kα (λ = 1.5418 Å). Input: the PBE geometry in Alexandria.

Structure:
```
AcPu2Au6
1.0
-1.886 3.978 7.355
1.886 -3.978 7.355
1.886 3.978 -7.355
Ac Pu Au
1 2 6
Direct
0.000 0.000 0.000
0.359 0.859 0.500
0.641 0.141 0.500
0.009 0.322 0.686
0.323 0.500 0.823
0.364 0.678 0.686
0.636 0.322 0.314
0.677 0.500 0.177
0.991 0.678 0.314
```

Most intense lines, 10° ≤ 2θ ≤ 80°, by intensity:
d_spacing, 2θ (°), I (rel.)
2.333, 38.60, 100
2.691, 33.30, 97
3.092, 28.88, 64
2.500, 35.93, 64
1.466, 63.43, 51
2.452, 36.65, 49
1.886, 48.27, 31
1.667, 55.08, 29
2.320, 38.82, 27
2.004, 45.25, 24

---

Entry 3:
# AcLa3Pm2Y6
Computed X-ray powder pattern, Cu Kα (λ = 1.5418 Å). Input: the PBE geometry in Alexandria.

Structure:
```
AcLa3Pm2Y6
1.0
3.182 -5.511 0.000
3.182 5.511 0.000
-2.119 0.000 11.797
Ac La Pm Y
1 3 2 6
Direct
0.000 0.000 0.000
0.167 0.833 0.500
0.500 0.500 0.500
0.833 0.167 0.500
0.333 0.667 0.000
0.667 0.333 0.000
0.084 0.420 0.250
0.252 0.252 0.750
0.420 0.084 0.250
0.580 0.916 0.750
0.748 0.748 0.250
0.916 0.580 0.750
```

Most intense lines, 10° ≤ 2θ ≤ 80°, by intensity:
d_spacing, 2θ (°), I (rel.)
2.994, 29.84, 100
2.583, 34.73, 67
2.949, 30.31, 32
1.837, 49.63, 24
1.816, 50.23, 23
1.559, 59.26, 19
1.566, 58.99, 14
1.546, 59.80, 14
1.497, 61.99, 12
5.898, 15.02, 10

---

Please write out number 1 again, unchanged.
# RbSnHg2H
Computed X-ray powder pattern, Cu Kα (λ = 1.5418 Å). Input: the PBE geometry in Alexandria.

Structure:
```
RbSnHg2H
1.0
6.059 0.000 0.000
0.000 6.059 0.000
0.000 0.000 4.060
Rb Sn Hg H
1 1 2 1
Direct
0.000 0.000 0.000
0.500 0.500 0.500
0.000 0.500 0.500
0.500 0.000 0.500
0.500 0.500 0.000
```

Most intense lines, 10° ≤ 2θ ≤ 80°, by intensity:
d_spacing, 2θ (°), I (rel.)
3.030, 29.48, 100
2.947, 30.33, 67
2.428, 37.02, 56
4.060, 21.89, 51
2.142, 42.18, 38
1.687, 54.40, 37
3.373, 26.42, 30
1.733, 52.83, 29
1.895, 48.02, 27
1.474, 63.09, 24